Structure and computed X-ray diffraction stick pattern of TbPm3Er3S8 (a DFT-relaxed cell (GGA-PBE, Alexandria); Cu Kα).
Intensities are scaled so that the largest is 100.

Atomic structure:
```
TbPm3Er3S8
1.0
3.9239 2.2655 6.4939
-3.9239 2.2655 6.4939
0.0000 -4.5309 6.4939
Tb Pm Er S
1 3 3 8
Direct
0.0000 0.0000 0.0000 Tb
0.0000 0.0000 0.5000 Pm
0.0000 0.5000 0.0000 Pm
0.5000 0.0000 0.0000 Pm
0.0000 0.5000 0.5000 Er
0.5000 0.0000 0.5000 Er
0.5000 0.5000 0.0000 Er
0.2496 0.2496 0.7401 S
0.2496 0.7401 0.2496 S
0.2550 0.2550 0.2550 S
0.2599 0.7504 0.7504 S
0.7401 0.2496 0.2496 S
0.7450 0.7450 0.7450 S
0.7504 0.2599 0.7504 S
0.7504 0.7504 0.2599 S
```

The 10 most intense peaks (5 to 70 degrees two-theta), in order of rising 2θ:
d_spacing, 2θ/deg, Rel. int.
3.247, 27.47, 18
3.209, 27.80, 53
2.787, 32.12, 100
1.979, 45.84, 36
1.962, 46.27, 36
1.690, 54.27, 10
1.679, 54.66, 18
1.674, 54.85, 9
1.604, 57.44, 18
1.393, 67.18, 11